# PtC2S2N4
Theoretical powder diffraction line list, a wavelength of 1.5418 Å. Input: DFT lattice parameters and positions (GGA-PBE).

Principal peaks in the range 2θ from 15° to 90°, in order of rising 2θ:
h k l, d [Å], 2θ/deg, I_rel
1 1 0, 5.378, 16.5, 62
1 1 -2, 5.160, 17.2, 100
0 2 0, 4.418, 20.1, 30
0 2 1, 4.173, 21.3, 38
2 0 -2, 3.825, 23.3, 20
0 2 2, 3.629, 24.5, 26
1 1 2, 3.511, 25.4, 25
1 1 -4, 3.332, 26.8, 45
2 2 -2, 2.893, 30.9, 20
2 2 -1, 2.854, 31.3, 19

Crystal structure
Unit cell a=7.672 b=8.840 c=14.390 alpha=90.00 beta=117.96 gamma=90.00
Space group P2_1/c (No. 14)
One atom of each set of equivalent atoms:
Pt (0.243, 0.198, 0.229) (multiplicity 4)
C (0.249, 0.663, 0.395) (multiplicity 4)
C (0.298, 0.710, 0.147) (multiplicity 4)
S (0.070, 0.540, 0.370) (multiplicity 4)
S (0.478, 0.660, 0.687) (multiplicity 4)
N (0.165, 0.625, 0.117) (multiplicity 4)
N (0.182, 0.201, 0.092) (multiplicity 4)
N (0.199, 0.125, 0.332) (multiplicity 4)
N (0.385, 0.744, 0.416) (multiplicity 4)